# AcPmGa2Au5
Computed XRD peak list, a wavelength of 1.5418 Å. Input: the GGA-PBE geometry in Alexandria.
Lines closer than 0.1° are merged.

Structural model:
Lattice parameters (Å, degrees): 4.827 4.827 8.758 90.00 90.00 90.00
Space group P4/mmm (No. 123)
Asymmetric unit:
Ac: 0.000 0.000 0.000
Pm: 0.000 0.000 0.500
Ga: 0.500 0.500 0.355
Au: 0.000 0.500 0.252
Au: 0.500 0.500 0.000

Largest 10 diffraction maxima, most intense first, 10 to 90 degrees two-theta:
- 2θ 33.28, I = 100
- 2θ 37.26, I = 48
- 2θ 64.67, I = 30
- 2θ 56.77, I = 19
- 2θ 53.71, I = 17
- 2θ 70.12, I = 14
- 2θ 41.23, I = 12
- 2θ 69.88, I = 11
- 2θ 88.87, I = 7
- 2θ 10.10, I = 6


# AcGa5Pt2Au
Computed XRD peak list, a wavelength of 1.5418 Å. Input: the GGA-PBE geometry in Alexandria.
Lines closer than 0.1° are merged.

Structural model:
Lattice parameters (Å, degrees): 4.494 4.494 9.960 90.00 90.00 90.00
Space group P4/mmm (No. 123)
Asymmetric unit:
Ac: 0.000 0.000 0.000
Ga: 0.000 0.500 0.347
Ga: 0.500 0.500 0.000
Pt: 0.500 0.500 0.235
Au: 0.000 0.000 0.500

Largest 10 diffraction maxima, most intense first, 10 to 90 degrees two-theta:
- 2θ 26.72, I = 100
- 2θ 46.32, I = 51
- 2θ 40.13, I = 45
- 2θ 48.87, I = 43
- 2θ 28.08, I = 29
- 2θ 77.30, I = 23
- 2θ 58.05, I = 15
- 2θ 29.50, I = 14
- 2θ 55.05, I = 11
- 2θ 74.07, I = 10


# Ac2Ga3Rh4Au
Computed XRD peak list, a wavelength of 1.5418 Å. Input: the GGA-PBE geometry in Alexandria.
Lines closer than 0.1° are merged.

Structural model:
Lattice parameters (Å, degrees): 4.369 4.369 10.648 90.00 90.00 90.00
Space group P-4m2 (No. 115)
Asymmetric unit:
Ac: 0.000 0.500 0.245
Ga: 0.000 0.500 0.885
Ga: 0.500 0.500 0.500
Rh: 0.000 0.000 0.000
Rh: 0.000 0.500 0.650
Rh: 0.500 0.500 0.000
Au: 0.000 0.000 0.500

Largest 10 diffraction maxima, most intense first, 10 to 90 degrees two-theta:
- 2θ 33.54, I = 100
- 2θ 41.33, I = 49
- 2θ 32.50, I = 47
- 2θ 70.42, I = 28
- 2θ 53.54, I = 23
- 2θ 47.49, I = 21
- 2θ 64.75, I = 17
- 2θ 59.88, I = 17
- 2θ 60.13, I = 13
- 2θ 21.99, I = 13


# AcTmGa2Au5
Computed XRD peak list, a wavelength of 1.5418 Å. Input: the GGA-PBE geometry in Alexandria.
Lines closer than 0.1° are merged.

Structural model:
Lattice parameters (Å, degrees): 4.943 4.943 8.259 90.00 90.00 90.00
Space group P4/mmm (No. 123)
Asymmetric unit:
Ac: 0.000 0.000 0.000
Tm: 0.000 0.000 0.500
Ga: 0.500 0.500 0.345
Au: 0.000 0.500 0.268
Au: 0.500 0.500 0.000

Largest 10 diffraction maxima, most intense first, 10 to 90 degrees two-theta:
- 2θ 33.59, I = 100
- 2θ 36.35, I = 56
- 2θ 63.65, I = 33
- 2θ 52.35, I = 20
- 2θ 58.22, I = 18
- 2θ 74.02, I = 11
- 2θ 70.61, I = 10
- 2θ 43.85, I = 10
- 2θ 88.44, I = 10
- 2θ 49.56, I = 9


# AcZnGaAu6
Computed XRD peak list, a wavelength of 1.5418 Å. Input: the GGA-PBE geometry in Alexandria.
Lines closer than 0.1° are merged.

Structural model:
Lattice parameters (Å, degrees): 13.186 7.660 10.066 90.00 129.16 90.00
Space group C2/m (No. 12)
Asymmetric unit:
Ac: 0.193 0.000 0.488
Zn: 0.250 0.250 0.000
Ga: 0.000 0.000 0.000
Ga: 0.000 0.500 0.500
Au: 0.041 0.296 0.185
Au: 0.082 0.195 0.676
Au: 0.175 0.500 0.100
Au: 0.250 0.000 0.217

Largest 10 diffraction maxima, most intense first, 10 to 90 degrees two-theta:
- 2θ 29.13, I = 100
- 2θ 36.74, I = 94
- 2θ 35.95, I = 49
- 2θ 29.42, I = 48
- 2θ 35.83, I = 46
- 2θ 41.21, I = 45
- 2θ 36.33, I = 42
- 2θ 29.75, I = 39
- 2θ 46.59, I = 37
- 2θ 37.55, I = 36


# Ac2ZnGaAu6
Computed XRD peak list, a wavelength of 1.5418 Å. Input: the GGA-PBE geometry in Alexandria.
Lines closer than 0.1° are merged.

Structural model:
Lattice parameters (Å, degrees): 9.505 10.204 6.917 90.00 132.81 90.00
Space group C2/m (No. 12)
Asymmetric unit:
Ac: 0.000 0.214 0.000
Zn: 0.000 0.000 0.500
Ga: 0.000 0.500 0.500
Au: 0.000 0.250 0.500
Au: 0.161 0.500 0.319
Au: 0.249 0.000 0.000

Largest 10 diffraction maxima, most intense first, 10 to 90 degrees two-theta:
- 2θ 31.07, I = 100
- 2θ 31.29, I = 96
- 2θ 35.18, I = 63
- 2θ 37.86, I = 63
- 2θ 29.25, I = 56
- 2θ 52.64, I = 41
- 2θ 35.38, I = 30
- 2θ 40.14, I = 20
- 2θ 29.45, I = 19
- 2θ 44.02, I = 18


# Ac3ZnGa2Au6
Computed XRD peak list, a wavelength of 1.5418 Å. Input: the GGA-PBE geometry in Alexandria.
Lines closer than 0.1° are merged.

Structural model:
Lattice parameters (Å, degrees): 6.5165 6.5165 8.3654 90.00 90.00 120.00
Space group P-3m1 (No. 164)
Asymmetric unit:
Ac: 0.0000 0.0000 0.0000
Ac: 0.3333 0.6667 0.6482
Zn: 0.0000 0.0000 0.5000
Ga: 0.3333 0.6667 0.0466
Au: 0.1802 0.3604 0.2961

Largest 10 diffraction maxima, most intense first, 10 to 90 degrees two-theta:
- 2θ 33.52, I = 100
- 2θ 38.48, I = 66
- 2θ 32.10, I = 28
- 2θ 56.49, I = 27
- 2θ 34.91, I = 20
- 2θ 66.47, I = 19
- 2θ 45.75, I = 17
- 2θ 54.62, I = 17
- 2θ 21.24, I = 15
- 2θ 10.58, I = 14


# AcGe2Au4
Computed XRD peak list, a wavelength of 1.5418 Å. Input: the GGA-PBE geometry in Alexandria.
Lines closer than 0.1° are merged.

Structural model:
Lattice parameters (Å, degrees): 4.654 13.857 4.632 90.00 90.00 90.00
Space group Cmmm (No. 65)
Asymmetric unit:
Ac: 0.000 0.000 0.000
Ge: 0.000 0.407 0.500
Au: 0.000 0.178 0.500
Au: 0.000 0.318 0.000

Largest 10 diffraction maxima, most intense first, 10 to 90 degrees two-theta:
- 2θ 33.49, I = 100
- 2θ 38.69, I = 25
- 2θ 56.05, I = 25
- 2θ 38.89, I = 25
- 2θ 42.70, I = 18
- 2θ 66.74, I = 14
- 2θ 67.00, I = 14
- 2θ 12.78, I = 13
- 2θ 67.15, I = 11
- 2θ 39.00, I = 11